Simulated powder XRD pattern of Sc2CrC3 for a wavelength of 1.5418 Å, from a cell relaxed with PBE.
Kinematic intensities with the Lorentz-polarization factor, no thermal factor.

Cell and atoms:
Unit cell a=5.795 b=14.115 c=3.275 alpha=90.00 beta=90.00 gamma=90.00
Fractional positions:
Sc1 0.000 0.000 0.000
Sc2 0.000 0.500 0.500
Sc3 0.123 0.188 0.500
Sc4 0.377 0.688 0.500
Sc5 0.500 0.000 0.500
Sc6 0.500 0.500 0.000
Sc7 0.623 0.312 0.500
Sc8 0.877 0.812 0.500
Cr1 0.202 0.346 0.000
Cr2 0.298 0.846 0.000
Cr3 0.702 0.154 0.000
Cr4 0.798 0.654 0.000
C1 0.106 0.721 0.000
C2 0.137 0.618 0.000
C3 0.181 0.908 0.500
C4 0.319 0.408 0.500
C5 0.363 0.118 0.000
C6 0.394 0.221 0.000
C7 0.606 0.779 0.000
C8 0.637 0.882 0.000
C9 0.681 0.592 0.500
C10 0.819 0.092 0.500
C11 0.863 0.382 0.000
C12 0.894 0.279 0.000

Top 6 peaks for 10° ≤ 2θ ≤ 80°, low angle first:
2θ (°), intensity
33.91, 34
36.86, 100
38.26, 26
40.27, 29
40.69, 36
55.60, 31

=====

Simulated powder XRD pattern of SmSc2Cr2C4 for a wavelength of 1.5418 Å, from a cell relaxed with PBE.
Kinematic intensities with the Lorentz-polarization factor, no thermal factor.

Cell and atoms:
Unit cell a=6.719 b=6.719 c=5.736 alpha=112.61 beta=112.61 gamma=27.35
Fractional positions:
Sm1 0.000 0.000 0.000
Sc1 0.152 0.152 0.541
Sc2 0.848 0.848 0.459
Cr1 0.325 0.325 0.027
Cr2 0.675 0.675 0.973
C1 0.223 0.223 0.218
C2 0.478 0.478 0.367
C3 0.522 0.522 0.633
C4 0.777 0.777 0.782

Top 6 peaks for 10° ≤ 2θ ≤ 80°, low angle first:
2θ (°), intensity
16.83, 75
27.81, 31
29.08, 29
34.04, 51
35.93, 100
43.92, 70

=====

Simulated powder XRD pattern of SmCr2Si2C for a wavelength of 1.5418 Å, from a cell relaxed with PBE.
Kinematic intensities with the Lorentz-polarization factor, no thermal factor.

Cell and atoms:
Unit cell a=3.981 b=3.981 c=5.328 alpha=90.00 beta=90.00 gamma=90.00
Fractional positions:
Sm1 0.000 0.000 0.000
Cr1 0.000 0.500 0.500
Cr2 0.500 0.000 0.500
Si1 0.500 0.500 0.231
Si2 0.500 0.500 0.769
C1 0.000 0.000 0.500

Top 6 peaks for 10° ≤ 2θ ≤ 80°, low angle first:
2θ (°), intensity
22.33, 27
27.98, 52
36.09, 100
40.76, 51
45.57, 41
62.77, 28

=====

Simulated powder XRD pattern of TbSm2Cr2C4 for a wavelength of 1.5418 Å, from a cell relaxed with PBE.
Kinematic intensities with the Lorentz-polarization factor, no thermal factor.

Cell and atoms:
Unit cell a=6.884 b=6.884 c=6.015 alpha=108.34 beta=108.34 gamma=29.19
Fractional positions:
Tb1 0.000 0.000 0.000
Sm1 0.134 0.134 0.543
Sm2 0.866 0.866 0.457
Cr1 0.319 0.319 0.001
Cr2 0.681 0.681 0.999
C1 0.214 0.214 0.175
C2 0.448 0.448 0.235
C3 0.552 0.552 0.765
C4 0.786 0.786 0.825

Top 6 peaks for 10° ≤ 2θ ≤ 80°, low angle first:
2θ (°), intensity
26.65, 80
27.55, 71
31.46, 72
33.95, 100
39.79, 60
40.11, 89